Simulated X-ray diffraction stick pattern of URe2 for CuKα, from the GGA-PBE geometry in the Materials Project.

Most intense lines, 2θ = 10–90°, in order of rising 2θ:
hkl 1 1 0, 32.41 deg, rel. 22
hkl 1 0 3, 37.66 deg, rel. 52
hkl 2 0 1, 39.21 deg, rel. 100
hkl 0 0 4, 43.74 deg, rel. 15
hkl 1 0 4, 47.96 deg, rel. 11
hkl 2 1 3, 61.31 deg, rel. 20
hkl 3 0 2, 62.41 deg, rel. 11
hkl 2 2 0, 67.85 deg, rel. 18
hkl 2 0 5, 69.04 deg, rel. 19
hkl 3 1 3, 80.29 deg, rel. 11

Crystal structure
```
URe2
1.0
5.5254 0.0000 0.0000
-2.7627 4.7851 0.0000
0.0000 0.0000 8.2649
U Re
4 8
direct
0.3333 0.6667 0.0893
0.3333 0.6667 0.4107
0.6667 0.3333 0.5893
0.6667 0.3333 0.9107
0.0000 0.0000 0.0000
0.0000 0.0000 0.5000
0.1714 0.3427 0.7500
0.1714 0.8286 0.7500
0.3427 0.1714 0.2500
0.6573 0.8286 0.7500
0.8286 0.1714 0.2500
0.8286 0.6573 0.2500
```